# 1
Theoretical powder diffraction line list
Compound: NaLi2V3O9
Radiation: Cu Kα (weighted mean of Kα1 and Kα2)
Structure: a structure optimized by DFT (PBE+U)

Atomic structure:
Cell: 18.234 9.038 10.066 Å, 90.00 108.83 90.00°
Space group C2 (No. 5)
One atom of each set of equivalent atoms:
Na 0.000 0.000 0.000 (multiplicity 2)
Na 0.000 0.077 0.500 (multiplicity 2)
Na 0.166 0.500 0.667 (multiplicity 4)
Li 0.000 0.377 0.000 (multiplicity 2)
Li 0.000 0.706 0.500 (multiplicity 2)
Li 0.165 0.206 0.164 (multiplicity 4)
Li 0.166 0.875 0.664 (multiplicity 4)
Li 0.168 0.557 0.165 (multiplicity 4)
V 0.072 0.386 0.356 (multiplicity 4)
V 0.072 0.695 0.863 (multiplicity 4)
V 0.095 0.197 0.809 (multiplicity 4)
V 0.096 0.880 0.305 (multiplicity 4)
V 0.238 0.195 0.526 (multiplicity 4)
V 0.238 0.884 0.023 (multiplicity 4)
O 0.018 0.285 0.671 (multiplicity 4)
O 0.019 0.797 0.163 (multiplicity 4)
O 0.063 0.524 0.919 (multiplicity 4)
O 0.064 0.554 0.419 (multiplicity 4)
O 0.073 0.192 0.961 (multiplicity 4)
O 0.073 0.884 0.457 (multiplicity 4)
O 0.095 0.692 0.714 (multiplicity 4)
O 0.099 0.401 0.210 (multiplicity 4)
O 0.102 0.026 0.752 (multiplicity 4)
O 0.103 0.052 0.250 (multiplicity 4)
O 0.147 0.296 0.498 (multiplicity 4)
O 0.149 0.778 0.002 (multiplicity 4)
O 0.186 0.297 0.835 (multiplicity 4)
O 0.186 0.778 0.327 (multiplicity 4)
O 0.229 0.052 0.083 (multiplicity 4)
O 0.230 0.024 0.584 (multiplicity 4)
O 0.236 0.396 0.121 (multiplicity 4)
O 0.239 0.691 0.622 (multiplicity 4)

Top 10 peaks for 2θ from 10° to 80°, by intensity:
Position (°2θ)  I_rel  (hkl)
25.39  100  2 2 1
27.93  94  4 2 -1
18.14  75  2 0 -2
32.17  48  4 0 2
29.11  32  3 1 -3
28.36  32  5 1 -2
31.09  29  6 0 0
37.77  24  1 1 -4
43.21  23  2 4 1
34.52  21  0 2 3

# 2
Theoretical powder diffraction line list
Compound: Fe3O4F2
Radiation: Cu Kα (weighted mean of Kα1 and Kα2)
Structure: a structure optimized by DFT (PBE+U)

Atomic structure:
Cell: 4.662 5.556 7.731 Å, 85.16 89.57 89.57°
Space group P-1 (No. 2)
One atom of each set of equivalent atoms:
Fe 0.000 0.000 0.000 (multiplicity 1)
Fe 0.005 0.327 0.687 (multiplicity 2)
Fe 0.458 0.160 0.343 (multiplicity 2)
Fe 0.500 0.500 0.000 (multiplicity 1)
O 0.196 0.965 0.215 (multiplicity 2)
O 0.200 0.284 0.910 (multiplicity 2)
O 0.304 0.126 0.573 (multiplicity 2)
O 0.306 0.464 0.235 (multiplicity 2)
F 0.192 0.630 0.564 (multiplicity 2)
F 0.295 0.789 0.887 (multiplicity 2)

Top 10 peaks for 2θ from 10° to 80°, by intensity:
Position (°2θ)  I_rel  (hkl)
26.84  100  1 1 1
27.11  97  -1 1 1
35.21  51  1 -1 2
53.25  41  1 3 0
53.51  29  1 -3 0
52.91  28  2 0 3
34.94  25  0 0 3
35.37  24  0 2 -1
67.76  19  0 4 1
55.31  16  2 2 2